LiTaRe2P: simulated powder diffractogram (Cu Kα, 1.54184 Å), based on DFT lattice parameters and positions (GGA-PBE).
No peak broadening, texture or thermal motion is included.

Principal peaks in the range 2θ = 10–90°, low angle first:
d/Å  I_rel
4.401  15
2.817  11
2.373  100
2.200  42
1.834  12
1.556  14
1.409  20
1.301  30
1.186  12
1.138  10

Structural model:
```
LiTaRe2P
1.0
4.401 0.000 0.000
0.000 4.401 0.000
0.000 0.000 3.668
Li Ta Re P
1 1 2 1
direct
0.000 0.000 0.000 Li
0.500 0.500 0.500 Ta
0.000 0.500 0.000 Re
0.500 0.000 0.000 Re
0.000 0.000 0.500 P
```



Te6Mo3WSe2: simulated powder diffractogram (Cu Kα, 1.54184 Å), based on DFT lattice parameters and positions (GGA-PBE).
No peak broadening, texture or thermal motion is included.

Principal peaks in the range 2θ = 10–90°, low angle first:
d/Å  I_rel
7.369  65
3.024  45
2.575  100
2.111  63
1.842  11
1.746  34
1.445  16
1.345  14
1.267  19
1.113  15

Structural model:
```
Te6Mo3WSe2
1.0
3.492 0.000 0.000
-1.746 3.024 0.000
0.000 0.000 29.477
Te Mo W Se
6 3 1 2
direct
0.000 0.000 0.000 Te
0.000 0.000 0.124 Te
0.000 0.000 0.490 Te
0.000 0.000 0.614 Te
0.333 0.667 0.744 Te
0.333 0.667 0.868 Te
0.000 0.000 0.806 Mo
0.333 0.667 0.062 Mo
0.333 0.667 0.552 Mo
0.000 0.000 0.307 W
0.333 0.667 0.252 Se
0.333 0.667 0.362 Se
```



Tm6Ru2Rh: simulated powder diffractogram (Cu Kα, 1.54184 Å), based on DFT lattice parameters and positions (GGA-PBE).
No peak broadening, texture or thermal motion is included.

Principal peaks in the range 2θ = 10–90°, low angle first:
d/Å  I_rel
3.243  21
3.195  17
2.635  100
2.371  56
2.033  35
1.904  16
1.677  19
1.414  29
1.325  17
1.293  16

Structural model:
```
Tm6Ru2Rh
1.0
0.000 6.390 7.113
2.371 0.000 7.113
2.371 6.390 0.000
Tm Ru Rh
6 2 1
direct
0.129 0.871 0.129 Tm
0.203 0.461 0.539 Tm
0.461 0.203 0.797 Tm
0.539 0.797 0.203 Tm
0.797 0.539 0.461 Tm
0.871 0.129 0.871 Tm
0.166 0.166 0.834 Ru
0.834 0.834 0.166 Ru
0.500 0.500 0.500 Rh
```



PrAl2Zn4Cu: simulated powder diffractogram (Cu Kα, 1.54184 Å), based on DFT lattice parameters and positions (GGA-PBE).
No peak broadening, texture or thermal motion is included.

Principal peaks in the range 2θ = 10–90°, low angle first:
d/Å  I_rel
3.602  48
3.044  21
2.643  36
2.460  84
2.164  100
2.141  17
1.625  23
1.356  15
1.299  21
1.249  16

Structural model:
```
PrAl2Zn4Cu
1.0
2.164 1.249 8.695
-2.164 1.249 8.695
0.000 -2.499 8.695
Pr Al Zn Cu
1 2 4 1
direct
0.000 0.000 0.000 Pr
0.244 0.244 0.244 Al
0.756 0.756 0.756 Al
0.133 0.133 0.133 Zn
0.403 0.403 0.403 Zn
0.597 0.597 0.597 Zn
0.867 0.867 0.867 Zn
0.500 0.500 0.500 Cu
```



Tb12Tm2Sc: simulated powder diffractogram (Cu Kα, 1.54184 Å), based on DFT lattice parameters and positions (GGA-PBE).
No peak broadening, texture or thermal motion is included.

Principal peaks in the range 2θ = 10–90°, low angle first:
d/Å  I_rel
2.952  100
2.893  32
2.798  16
2.729  56
2.681  54
2.674  55
1.913  25
1.615  17
1.565  16
1.489  15

Structural model:
```
Tb12Tm2Sc
1.0
3.553 0.000 0.000
0.000 5.458 0.000
-0.060 0.000 24.521
Tb Tm Sc
12 2 1
direct
0.213 0.000 0.438 Tb
0.243 0.500 0.630 Tb
0.249 0.000 0.945 Tb
0.252 0.000 0.299 Tb
0.252 0.500 0.077 Tb
0.256 0.000 0.170 Tb
0.744 0.000 0.830 Tb
0.748 0.000 0.701 Tb
0.748 0.500 0.923 Tb
0.751 0.000 0.055 Tb
0.757 0.500 0.370 Tb
0.787 0.000 0.562 Tb
0.242 0.500 0.777 Tm
0.758 0.500 0.223 Tm
0.500 0.500 0.500 Sc
```



Hg13I: simulated powder diffractogram (Cu Kα, 1.54184 Å), based on DFT lattice parameters and positions (GGA-PBE).
No peak broadening, texture or thermal motion is included.

Principal peaks in the range 2θ = 10–90°, low angle first:
d/Å  I_rel
7.511  21
3.359  17
3.066  58
2.539  100
2.504  57
1.650  21
1.575  10
1.534  9
1.401  12
1.313  13

Structural model:
```
Hg13I
1.0
5.316 3.069 8.657
-5.316 3.069 8.657
0.000 -6.138 8.657
Hg I
26 2
direct
0.000 0.000 0.000 Hg
0.054 0.305 0.946 Hg
0.054 0.695 0.305 Hg
0.054 0.946 0.695 Hg
0.195 0.446 0.554 Hg
0.195 0.554 0.805 Hg
0.195 0.805 0.446 Hg
0.305 0.054 0.695 Hg
0.305 0.695 0.946 Hg
0.305 0.946 0.054 Hg
0.446 0.195 0.805 Hg
0.446 0.554 0.195 Hg
0.446 0.805 0.554 Hg
0.500 0.500 0.500 Hg
0.554 0.195 0.446 Hg
0.554 0.446 0.805 Hg
0.554 0.805 0.195 Hg
0.695 0.054 0.946 Hg
0.695 0.305 0.054 Hg
0.695 0.946 0.305 Hg
0.805 0.195 0.554 Hg
0.805 0.446 0.195 Hg
0.805 0.554 0.446 Hg
0.946 0.054 0.305 Hg
0.946 0.305 0.695 Hg
0.946 0.695 0.054 Hg
0.250 0.250 0.250 I
0.750 0.750 0.750 I
```



Ac3HfS7: simulated powder diffractogram (Cu Kα, 1.54184 Å), based on DFT lattice parameters and positions (GGA-PBE).
No peak broadening, texture or thermal motion is included.

Principal peaks in the range 2θ = 10–90°, low angle first:
d/Å  I_rel
3.942  99
3.880  100
3.386  55
2.652  11
2.421  23
2.396  67
2.364  17
2.054  37
2.027  28
1.691  12

Structural model:
```
Ac3HfS7
1.0
4.727 -6.790 0.000
4.727 6.790 0.000
0.000 0.000 9.684
Ac Hf S
6 2 14
direct
0.008 0.008 0.000 Ac
0.051 0.495 0.252 Ac
0.495 0.051 0.748 Ac
0.505 0.949 0.248 Ac
0.949 0.505 0.752 Ac
0.992 0.992 0.500 Ac
0.500 0.500 0.000 Hf
0.500 0.500 0.500 Hf
0.127 0.873 0.750 S
0.132 0.868 0.250 S
0.175 0.422 0.968 S
0.176 0.422 0.535 S
0.422 0.175 0.032 S
0.422 0.176 0.465 S
0.440 0.560 0.250 S
0.560 0.440 0.750 S
0.578 0.824 0.965 S
0.578 0.825 0.532 S
0.824 0.578 0.035 S
0.825 0.578 0.468 S
0.868 0.132 0.750 S
0.873 0.127 0.250 S
```



PdAu3F9: simulated powder diffractogram (Cu Kα, 1.54184 Å), based on DFT lattice parameters and positions (GGA-PBE).
No peak broadening, texture or thermal motion is included.

Principal peaks in the range 2θ = 10–90°, low angle first:
d/Å  I_rel
4.419  69
4.273  100
4.001  32
3.904  61
3.595  33
3.395  29
3.376  37
3.224  31
2.844  30
2.687  39

Structural model:
```
PdAu3F9
1.0
7.205 -3.824 0.000
7.205 3.824 0.000
-6.653 0.000 8.540
Pd Au F
2 6 18
direct
0.167 0.833 0.500 Pd
0.833 0.167 0.000 Pd
0.120 0.229 0.819 Au
0.229 0.120 0.319 Au
0.387 0.595 0.817 Au
0.595 0.387 0.317 Au
0.621 0.894 0.348 Au
0.894 0.621 0.848 Au
0.090 0.615 0.782 F
0.091 0.867 0.310 F
0.129 0.956 0.084 F
0.243 0.826 0.713 F
0.291 0.323 0.040 F
0.323 0.291 0.540 F
0.373 0.955 0.608 F
0.383 0.545 0.437 F
0.545 0.383 0.937 F
0.613 0.682 0.387 F
0.615 0.090 0.282 F
0.682 0.613 0.887 F
0.707 0.952 0.894 F
0.826 0.243 0.213 F
0.867 0.091 0.810 F
0.952 0.707 0.394 F
0.955 0.373 0.108 F
0.956 0.129 0.584 F
```



SrLiSnN: simulated powder diffractogram (Cu Kα, 1.54184 Å), based on DFT lattice parameters and positions (GGA-PBE).
No peak broadening, texture or thermal motion is included.

Principal peaks in the range 2θ = 10–90°, low angle first:
d/Å  I_rel
5.240  27
4.003  52
2.844  61
2.719  66
2.620  18
2.586  100
2.166  23
1.723  29
1.648  34
1.437  20

Structural model:
```
SrLiSnN
1.0
3.387 0.000 0.000
0.000 4.332 0.000
0.000 0.000 10.480
Sr Li Sn N
2 2 2 2
direct
0.000 0.000 0.000 Sr
0.000 0.500 0.500 Sr
0.000 0.000 0.334 Li
0.000 0.500 0.834 Li
0.500 0.000 0.687 Sn
0.500 0.500 0.187 Sn
0.500 0.000 0.482 N
0.500 0.500 0.982 N
```



CaLa2InRh: simulated powder diffractogram (Cu Kα, 1.54184 Å), based on DFT lattice parameters and positions (GGA-PBE).
No peak broadening, texture or thermal motion is included.

Principal peaks in the range 2θ = 10–90°, low angle first:
d/Å  I_rel
5.531  43
3.894  51
3.175  100
2.766  47
2.742  92
2.242  23
1.947  67
1.939  33
1.655  29
1.587  34

Structural model:
```
CaLa2InRh
1.0
5.483 0.000 0.000
0.000 5.483 0.000
0.000 0.000 5.531
Ca La In Rh
1 2 1 1
direct
0.000 0.000 0.000 Ca
0.000 0.500 0.500 La
0.500 0.000 0.500 La
0.500 0.500 0.000 In
0.000 0.000 0.500 Rh
```



Ac2Zn2Ga3: simulated powder diffractogram (Cu Kα, 1.54184 Å), based on DFT lattice parameters and positions (GGA-PBE).
No peak broadening, texture or thermal motion is included.

Principal peaks in the range 2θ = 10–90°, low angle first:
d/Å  I_rel
4.082  19
3.621  17
3.388  17
2.842  66
2.794  100
2.471  16
2.356  31
2.169  30
1.744  21
1.596  23

Structural model:
```
Ac2Zn2Ga3
1.0
2.356 -9.883 0.000
2.356 9.883 0.000
0.000 0.000 7.243
Ac Zn Ga
4 4 6
direct
0.052 0.948 0.750 Ac
0.164 0.836 0.250 Ac
0.836 0.164 0.750 Ac
0.948 0.052 0.250 Ac
0.321 0.679 0.069 Zn
0.321 0.679 0.431 Zn
0.679 0.321 0.569 Zn
0.679 0.321 0.931 Zn
0.223 0.777 0.750 Ga
0.442 0.558 0.576 Ga
0.442 0.558 0.924 Ga
0.558 0.442 0.076 Ga
0.558 0.442 0.424 Ga
0.777 0.223 0.250 Ga
```



La2Ho3Er6Tm: simulated powder diffractogram (Cu Kα, 1.54184 Å), based on DFT lattice parameters and positions (GGA-PBE).
No peak broadening, texture or thermal motion is included.

Principal peaks in the range 2θ = 10–90°, low angle first:
d/Å  I_rel
2.899  100
2.891  33
2.509  67
1.776  24
1.772  24
1.514  43
1.511  14
1.450  12
1.152  12
1.123  11

Structural model:
```
La2Ho3Er6Tm
1.0
3.077 -5.327 0.000
3.077 5.327 0.000
-2.046 0.000 11.563
La Ho Er Tm
2 3 6 1
direct
0.166 0.834 0.000 La
0.834 0.166 0.000 La
0.000 0.000 0.500 Ho
0.334 0.666 0.500 Ho
0.666 0.334 0.500 Ho
0.083 0.415 0.746 Er
0.254 0.254 0.255 Er
0.415 0.083 0.746 Er
0.585 0.917 0.254 Er
0.746 0.746 0.745 Er
0.917 0.585 0.254 Er
0.500 0.500 0.000 Tm
```



What did the fifth record say?
Tb12Tm2Sc: simulated powder diffractogram (Cu Kα, 1.54184 Å), based on DFT lattice parameters and positions (GGA-PBE).
No peak broadening, texture or thermal motion is included.

Principal peaks in the range 2θ = 10–90°, low angle first:
d/Å  I_rel
2.952  100
2.893  32
2.798  16
2.729  56
2.681  54
2.674  55
1.913  25
1.615  17
1.565  16
1.489  15

Structural model:
```
Tb12Tm2Sc
1.0
3.553 0.000 0.000
0.000 5.458 0.000
-0.060 0.000 24.521
Tb Tm Sc
12 2 1
direct
0.213 0.000 0.438 Tb
0.243 0.500 0.630 Tb
0.249 0.000 0.945 Tb
0.252 0.000 0.299 Tb
0.252 0.500 0.077 Tb
0.256 0.000 0.170 Tb
0.744 0.000 0.830 Tb
0.748 0.000 0.701 Tb
0.748 0.500 0.923 Tb
0.751 0.000 0.055 Tb
0.757 0.500 0.370 Tb
0.787 0.000 0.562 Tb
0.242 0.500 0.777 Tm
0.758 0.500 0.223 Tm
0.500 0.500 0.500 Sc
```



- Number 8 is which compound?
  PdAu3F9